Entry 1:
Computed XRD peak list of RbTl2In8 for Cu Kα, from the PBE geometry in Alexandria.
Intensities are scaled so that the largest is 100.

Peak list (12 most intense, 2θ from 5° to 70°, in order of rising 2θ)
2θ/deg	d/Å	I (rel.)	(hkl)
7.18	12.318	100	0 0 1
14.38	6.159	6	0 0 2
15.92	5.566	10	1 0 0
31.49	2.841	76	1 1 3
32.17	2.783	61	2 0 0
33.00	2.714	13	2 0 1
37.07	2.425	50	1 1 4
46.13	1.968	22	2 2 0
56.92	1.618	28	3 1 3
60.60	1.528	23	3 1 4
62.44	1.487	13	2 0 7
67.29	1.391	7	4 0 0

Structural model:
```
data_RbTl2In8
_cell_length_a 5.566
_cell_length_b 5.566
_cell_length_c 12.318
_cell_angle_alpha 90.00
_cell_angle_beta 90.00
_cell_angle_gamma 90.00
_symmetry_space_group_name_H-M 'P 4/m m m'
_symmetry_Int_Tables_number 123
_symmetry_space_group_name_Hall '-P 4 2'
loop_
_atom_site_label
_atom_site_fract_x
_atom_site_fract_y
_atom_site_fract_z
Rb1 0.000 0.000 0.000
Tl1 0.000 0.000 0.358
In1 0.000 0.500 0.225
In2 0.000 0.500 0.500
In3 0.500 0.500 0.361
```



Entry 2:
Computed XRD peak list of RbTl2In6 for Cu Kα, from the PBE geometry in Alexandria.
Intensities are scaled so that the largest is 100.

Peak list (12 most intense, 2θ from 5° to 70°, in order of rising 2θ)
2θ/deg	d/Å	I (rel.)	(hkl)
8.86	9.979	15	0 0 1
16.32	5.430	32	1 0 0
24.22	3.674	18	1 0 2
24.84	3.584	20	1 1 1
29.35	3.043	30	1 1 2
31.54	2.837	32	1 0 3
32.99	2.715	86	2 0 0
35.71	2.514	100	1 1 3
46.29	1.961	22	2 1 3
47.35	1.920	31	2 2 0
60.69	1.526	44	3 1 3
65.85	1.418	22	2 0 6

Structural model:
```
data_RbTl2In6
_cell_length_a 5.430
_cell_length_b 5.430
_cell_length_c 9.979
_cell_angle_alpha 90.00
_cell_angle_beta 90.00
_cell_angle_gamma 90.00
_symmetry_space_group_name_H-M 'P 4/m m m'
_symmetry_Int_Tables_number 123
_symmetry_space_group_name_Hall '-P 4 2'
loop_
_atom_site_label
_atom_site_fract_x
_atom_site_fract_y
_atom_site_fract_z
Rb1 0.000 0.000 0.000
Tl1 0.500 0.500 0.160
In1 0.000 0.000 0.500
In2 0.000 0.500 0.325
In3 0.500 0.500 0.500
```



Entry 3:
Computed XRD peak list of Rb2Tl3In for Cu Kα, from the PBE geometry in Alexandria.
Intensities are scaled so that the largest is 100.

Peak list (12 most intense, 2θ from 5° to 70°, in order of rising 2θ)
2θ/deg	d/Å	I (rel.)	(hkl)
17.19	5.159	80	0 2 0
18.96	4.681	98	3 1 0
23.55	3.778	100	3 1 1
26.50	3.363	63	1 3 0
29.78	3.000	44	1 1 2
30.15	2.964	52	2 0 2
31.06	2.879	40	3 3 0
32.91	2.722	55	0 2 2
33.94	2.641	64	3 1 2
34.15	2.625	80	6 0 0
45.13	2.009	42	0 4 2
57.79	1.596	40	6 4 2

Structural model:
```
data_Rb2Tl3In
_cell_length_a 15.753
_cell_length_b 10.328
_cell_length_c 6.398
_cell_angle_alpha 90.00
_cell_angle_beta 90.00
_cell_angle_gamma 90.00
_symmetry_space_group_name_H-M 'C m c m'
_symmetry_Int_Tables_number 63
_symmetry_space_group_name_Hall '-C 2c 2'
loop_
_atom_site_label
_atom_site_fract_x
_atom_site_fract_y
_atom_site_fract_z
Rb1 0.143 0.173 0.250
Tl1 0.000 0.121 0.750
Tl2 0.165 0.500 0.000
In1 0.000 0.415 0.750
```



Entry 4:
Computed XRD peak list of Rb2Tl12In7 for Cu Kα, from the PBE geometry in Alexandria.
Intensities are scaled so that the largest is 100.

Peak list (12 most intense, 2θ from 5° to 70°, in order of rising 2θ)
2θ/deg	d/Å	I (rel.)	(hkl)
13.83	6.402	16	1 1 0
27.98	3.188	100	2 1 1
30.26	2.954	15	3 0 1
32.30	2.772	14	4 0 0
34.40	2.607	19	4 -1 1
35.28	2.544	28	3 2 0
36.58	2.457	21	0 0 2
37.21	2.416	45	0 4 1
49.58	1.838	12	0 4 2
51.73	1.767	13	5 -3 2
61.51	1.508	15	5 3 1
63.36	1.468	12	1 7 0

Structural model:
```
data_Rb2Tl12In7
_cell_length_a 12.8032
_cell_length_b 12.8032
_cell_length_c 4.9131
_cell_angle_alpha 90.00
_cell_angle_beta 90.00
_cell_angle_gamma 120.00
_symmetry_space_group_name_H-M 'P -3'
_symmetry_Int_Tables_number 147
_symmetry_space_group_name_Hall '-P 3'
loop_
_atom_site_label
_atom_site_fract_x
_atom_site_fract_y
_atom_site_fract_z
Rb1 0.3333 0.6667 0.2480
Tl1 0.0805 0.4371 0.7502
Tl2 0.1258 0.2566 0.2332
In1 0.0000 0.0000 0.5000
In2 0.0961 0.6864 0.7407
```



Entry 5:
Computed XRD peak list of Rb2Tl3In17 for Cu Kα, from the PBE geometry in Alexandria.
Intensities are scaled so that the largest is 100.

Peak list (12 most intense, 2θ from 5° to 70°, in order of rising 2θ)
2θ/deg	d/Å	I (rel.)	(hkl)
29.36	3.042	44	1 1 -2
30.16	2.964	31	2 2 2
30.39	2.941	56	2 0 2
30.56	2.925	53	2 2 0
32.10	2.788	100	-2 2 2
32.43	2.761	39	1 3 3
33.10	2.706	56	1 -3 0
35.26	2.546	21	0 2 -2
35.62	2.521	30	0 2 4
35.83	2.506	28	0 4 2
52.69	1.737	20	4 -2 0
60.19	1.537	21	2 -2 4

Structural model:
```
data_Rb2Tl3In17
_cell_length_a 7.682
_cell_length_b 10.040
_cell_length_c 10.099
_cell_angle_alpha 60.74
_cell_angle_beta 86.86
_cell_angle_gamma 87.07
_symmetry_space_group_name_H-M 'P -1'
_symmetry_Int_Tables_number 2
_symmetry_space_group_name_Hall '-P 1'
loop_
_atom_site_label
_atom_site_fract_x
_atom_site_fract_y
_atom_site_fract_z
Rb1 0.196 0.369 0.363
Tl1 0.000 0.000 0.500
Tl2 0.000 0.500 0.000
Tl3 0.500 0.500 0.500
In1 0.000 0.000 0.000
In2 0.156 0.783 0.345
In3 0.159 0.344 0.784
In4 0.239 0.731 0.016
In5 0.241 0.027 0.725
In6 0.292 0.688 0.687
In7 0.294 0.148 0.149
In8 0.497 0.845 0.153
In9 0.500 0.000 0.500
In10 0.500 0.500 0.000
```



Entry 6:
Computed XRD peak list of Rb2Tl10In for Cu Kα, from the PBE geometry in Alexandria.
Intensities are scaled so that the largest is 100.

Peak list (12 most intense, 2θ from 5° to 70°, in order of rising 2θ)
2θ/deg	d/Å	I (rel.)	(hkl)
12.23	7.239	100	0 0 1
26.71	3.338	16	1 1 2
29.94	2.985	28	2 1 2
31.13	2.873	21	1 4 1
31.77	2.817	39	4 1 0
33.16	2.701	31	1 3 2
33.48	2.677	33	4 0 1
35.37	2.538	27	1 5 0
36.19	2.482	29	3 4 0
36.79	2.443	21	3 2 2
38.00	2.368	31	1 4 2
40.01	2.253	19	3 3 2

Structural model:
```
data_Rb2Tl10In
_cell_length_a 11.541
_cell_length_b 13.006
_cell_length_c 7.239
_cell_angle_alpha 90.00
_cell_angle_beta 90.00
_cell_angle_gamma 90.00
_symmetry_space_group_name_H-M 'P b a m'
_symmetry_Int_Tables_number 55
_symmetry_space_group_name_Hall '-P 2 2ab'
loop_
_atom_site_label
_atom_site_fract_x
_atom_site_fract_y
_atom_site_fract_z
Rb1 0.146 0.107 0.000
Tl1 0.037 0.880 0.500
Tl2 0.065 0.685 0.232
Tl3 0.188 0.301 0.500
Tl4 0.241 0.055 0.500
In1 0.000 0.500 0.500
```



Entry 7:
Computed XRD peak list of Rb3Tl4In for Cu Kα, from the PBE geometry in Alexandria.
Intensities are scaled so that the largest is 100.

Peak list (12 most intense, 2θ from 5° to 70°, in order of rising 2θ)
2θ/deg	d/Å	I (rel.)	(hkl)
12.25	7.224	28	0 0 1
13.21	6.701	93	1 1 0
17.70	5.010	25	1 1 -1
26.61	3.350	30	2 2 0
27.60	3.232	25	1 1 -2
28.52	3.130	63	1 1 2
28.94	3.085	100	2 2 -1
29.57	3.020	58	3 1 1
35.05	2.560	48	4 0 1
35.29	2.543	30	1 3 -1
37.31	2.410	52	2 2 2
39.31	2.292	28	4 0 -2

Structural model:
```
data_Rb3Tl4In
_cell_length_a 11.256
_cell_length_b 8.349
_cell_length_c 7.239
_cell_angle_alpha 90.00
_cell_angle_beta 93.69
_cell_angle_gamma 90.00
_symmetry_space_group_name_H-M 'C 1 2 1'
_symmetry_Int_Tables_number 5
_symmetry_space_group_name_Hall 'C 2y'
loop_
_atom_site_label
_atom_site_fract_x
_atom_site_fract_y
_atom_site_fract_z
Rb1 0.000 0.000 0.000
Rb2 0.185 0.744 0.633
Tl1 0.099 0.547 0.163
Tl2 0.186 0.324 0.836
In1 0.000 0.344 0.500
```



Entry 8:
Computed XRD peak list of RbTl6In for Cu Kα, from the PBE geometry in Alexandria.
Intensities are scaled so that the largest is 100.

Peak list (12 most intense, 2θ from 5° to 70°, in order of rising 2θ)
2θ/deg	d/Å	I (rel.)	(hkl)
8.64	10.235	28	0 0 3
17.33	5.118	12	0 0 6
29.80	2.998	70	0 1 8
32.29	2.772	100	1 1 0
36.87	2.438	11	1 1 6
37.26	2.413	31	0 1 11
44.51	2.036	24	2 0 8
50.11	1.820	13	2 0 11
56.05	1.641	24	1 2 8
57.58	1.601	20	3 0 0
60.88	1.522	15	1 2 11
67.58	1.386	12	2 2 0

Structural model:
```
data_RbTl6In
_cell_length_a 5.5448
_cell_length_b 5.5448
_cell_length_c 30.7060
_cell_angle_alpha 90.00
_cell_angle_beta 90.00
_cell_angle_gamma 120.00
_symmetry_space_group_name_H-M 'R -3 m'
_symmetry_Int_Tables_number 166
_symmetry_space_group_name_Hall '-R 3 2"'
loop_
_atom_site_label
_atom_site_fract_x
_atom_site_fract_y
_atom_site_fract_z
Rb1 0.0000 0.0000 0.0000
Tl1 0.0000 0.0000 0.1324
Tl2 0.0000 0.0000 0.2426
Tl3 0.0000 0.0000 0.4006
In1 0.0000 0.0000 0.5000
```